This entry pairs a crystal structure of Nd12Mn5C15 with its simulated X-ray diffraction stick pattern. Radiation: Cu Ka. Structure: a cell relaxed with PBE.

Structural model:
```
data_Nd12Mn5C15
_chemical_formula_sum 'Nd12 Mn5 C15'
_cell_length_a 10.7730
_cell_length_b 10.7730
_cell_length_c 5.3084
_cell_angle_alpha 90.00
_cell_angle_beta 90.00
_cell_angle_gamma 120.00
_space_group_name_H-M_alt 'P -6 2 m'
_space_group_IT_number 189
_space_group_name_Hall 'P -6 -2'
loop_
_atom_site_label
_atom_site_type_symbol
_atom_site_fract_x
_atom_site_fract_y
_atom_site_fract_z
Nd1 Nd 0.0000 0.4250 0.0000
Nd2 Nd 0.0000 0.7931 0.0000
Nd3 Nd 0.1868 0.7293 0.5000
Mn1 Mn 0.0000 0.1547 0.5000
Mn2 Mn 0.3333 0.6667 0.0000
C1 C 0.0000 0.3220 0.5000
C2 C 0.0000 0.4475 0.5000
C3 C 0.0000 0.8082 0.5000
C4 C 0.1955 0.7126 0.0000
```

Largest 6 diffraction maxima, low angle first, 2θ from 10° to 90°:
2θ/deg  intensity  h k l
30.43  100  2 1 1
33.27  15  2 2 0
33.77  34  0 0 2
34.67  28  3 1 0
49.17  20  3 1 2
58.35  16  2 1 3